(1)
For Pa2FeSb2, DFT lattice parameters and positions (PBE) gives the simulated XRD peak list in this record (Cu Kα, 1.54184 Å).
Peak positions follow from Bragg's law for the DFT cell and can differ from measured ones.

Structure:
Cell lengths 12.1637, 12.1637, 12.1637 Å; angles 158.92, 158.92, 29.98 degrees
Element x y z (fractional)
Pa  0.0548  0.3048  0.7500
Pa  0.3048  0.0548  0.2500
Pa  0.6952  0.9452  0.7500
Pa  0.9452  0.6952  0.2500
Fe  0.3750  0.6250  0.7500
Fe  0.6250  0.3750  0.2500
Sb  0.1909  0.4409  0.7500
Sb  0.4409  0.1909  0.2500
Sb  0.5591  0.8091  0.7500
Sb  0.8091  0.5591  0.2500

Top 10 peaks for 2θ = 10–90°, sorted by position:
2θ 22.99, I 27.3; 2θ 29.39, I 64.8; 2θ 30.43, I 34.6; 2θ 36.64, I 100.0; 2θ 40.55, I 51.0; 2θ 51.53, I 32.6; 2θ 58.69, I 17.3; 2θ 62.74, I 18.7; 2θ 67.55, I 14.7; 2θ 71.21, I 28.8

---

(2)
For Pa5FeSe4, DFT lattice parameters and positions (PBE) gives the simulated XRD peak list in this record (Cu Kα, 1.54184 Å).
Peak positions follow from Bragg's law for the DFT cell and can differ from measured ones.

Structure:
Cell lengths 6.9838, 6.9838, 6.9838 Å; angles 99.72, 99.72, 131.49 degrees
Element x y z (fractional)
Pa  0.0000  0.0000  0.0000
Pa  0.2275  0.4026  0.6301
Pa  0.4026  0.7725  0.1751
Pa  0.5974  0.2275  0.8249
Pa  0.7725  0.5974  0.3699
Fe  0.5000  0.5000  0.0000
Se  0.0879  0.6916  0.7795
Se  0.3084  0.0879  0.3963
Se  0.6916  0.9121  0.6037
Se  0.9121  0.3084  0.2205

Top 10 peaks for 2θ = 10–90°, sorted by position:
2θ 27.05, I 71.1; 2θ 31.17, I 54.4; 2θ 31.42, I 100.0; 2θ 44.85, I 75.9; 2θ 45.02, I 34.1; 2θ 53.32, I 16.8; 2θ 55.78, I 36.5; 2θ 65.04, I 12.8; 2θ 73.99, I 17.6; 2θ 82.96, I 17.2

---

(3)
For Pa2FeSi5, DFT lattice parameters and positions (PBE) gives the simulated XRD peak list in this record (Cu Kα, 1.54184 Å).
Peak positions follow from Bragg's law for the DFT cell and can differ from measured ones.

Structure:
Cell lengths 5.8759, 5.8759, 5.8759 Å; angles 121.44, 121.44, 87.53 degrees
Element x y z (fractional)
Pa  0.0000  0.5000  0.5000
Pa  0.5000  0.0000  0.5000
Fe  0.2731  0.2731  0.0000
Si  0.5375  0.5375  0.5616
Si  0.5375  0.9759  0.0000
Si  0.5380  0.5380  0.0000
Si  0.9759  0.5375  0.0000
Si  0.9759  0.9759  0.4384

Top 10 peaks for 2θ = 10–90°, sorted by position:
2θ 20.93, I 23.0; 2θ 21.87, I 59.5; 2θ 30.45, I 100.0; 2θ 31.12, I 37.3; 2θ 37.81, I 65.9; 2θ 42.61, I 17.1; 2θ 44.59, I 30.4; 2θ 48.39, I 18.1; 2θ 54.96, I 36.7; 2θ 63.38, I 20.2